# K12Hg2Au5
Computed powder diffractogram, Cu Kα. Input: a structure optimized by DFT (GGA-PBE).
Peak positions follow from Bragg's law for the DFT cell and can differ from measured ones.

Most intense lines, 2θ = 5–70°, most intense first:
- hkl 1 1 -1, 6.794 Å, 2θ = 13.03°, I 100
- hkl 4 2 1, 2.710 Å, 2θ = 33.06°, I 59
- hkl 2 0 -1, 6.158 Å, 2θ = 14.38°, I 56
- hkl 4 0 -2, 3.083 Å, 2θ = 28.96°, I 46
- hkl 0 2 3, 2.749 Å, 2θ = 32.58°, I 45
- hkl 2 2 2, 3.045 Å, 2θ = 29.33°, I 39
- hkl 4 2 -1, 2.951 Å, 2θ = 30.29°, I 31
- hkl 0 0 2, 4.739 Å, 2θ = 18.72°, I 27
- hkl 0 2 1, 4.804 Å, 2θ = 18.47°, I 26
- hkl 1 1 1, 6.090 Å, 2θ = 14.54°, I 26
- hkl 0 4 0, 2.787 Å, 2θ = 32.12°, I 25
- hkl 0 2 0, 5.573 Å, 2θ = 15.90°, I 21

Atomic structure:
abc: 14.176 11.147 9.627
angles: 90.00 100.09 90.00
Space group C2/m (No. 12)
Unique sites:
K (0.080, 0.000, 0.181) x4
K (0.112, 0.292, 0.397) x8
K (0.124, 0.500, 0.791) x4
K (0.189, 0.160, 0.803) x8
Hg (0.000, 0.281, 0.000) x4
Au (0.000, 0.000, 0.500) x2
Au (0.100, 0.500, 0.125) x4
Au (0.205, 0.000, 0.493) x4